Starting from a structure optimized by DFT (PBE+U), the PXRD pattern of NdMn2TlO8 was calculated for Cu Kα (λ = 1.5418 Å).
Intensities are scaled so that the largest is 100.

The 6 most intense peaks (2θ = 10–80°), by angle:
17.53°, rel. 89; 20.89°, rel. 32; 28.79°, rel. 100; 30.60°, rel. 64; 42.51°, rel. 45; 53.28°, rel. 34

Structural model:
```
NdMn2TlO8
1.0
5.8432 0.0000 0.0000
-2.9216 5.0603 0.0000
0.0000 0.0000 7.8499
Nd Mn Tl O
1 2 1 8
direct
0.0000 0.0000 0.0000
0.3333 0.6667 0.2643
0.6667 0.3333 0.7357
0.0000 0.0000 0.5000
0.1750 0.8213 0.1928
0.1787 0.3538 0.1928
0.3333 0.6667 0.4714
0.3538 0.1750 0.8072
0.6462 0.8250 0.1928
0.6667 0.3333 0.5286
0.8213 0.6462 0.8072
0.8250 0.1787 0.8072
```